Computed X-ray powder pattern of TlPb2W2 for Cu Kα (λ = 1.5418 Å), from a cell relaxed with PBE.

Structural model:
abc: 3.703 3.703 19.061
angles: 90.00 90.00 90.00
Space group I4/mmm (No. 139)
Inequivalent atoms, fractional coordinates:
Tl (0.000, 0.000, 0.000) x2
Pb (0.000, 0.000, 0.376) x4
W (0.000, 0.500, 0.250) x4

Main lines, by angle (5 to 70 degrees two-theta):
3.199 Å, intensity 100, hkl 1 0 3
2.656 Å, intensity 66, hkl 1 0 5
2.525 Å, intensity 74, hkl 1 1 2
2.383 Å, intensity 46, hkl 0 0 8
2.295 Å, intensity 58, hkl 1 1 4
2.021 Å, intensity 36, hkl 1 1 6
1.852 Å, intensity 44, hkl 2 0 0
1.462 Å, intensity 41, hkl 2 0 8